For Pm2TmUO8, a crystal structure in Alexandria, relaxed with PBE gives the simulated X-ray powder pattern in this record (Cu Kα, 1.54184 Å).
Lines closer than 0.1° are merged.

Largest 12 diffraction maxima, low angle first, 2θ = 10–90°:
2θ/deg	I (rel.)
28.22	100
28.65	96
32.82	22
33.01	43
46.82	18
47.24	67
47.94	16
55.81	46
56.07	15
56.56	29
75.96	12
76.60	12

Crystal structure
```
data_Pm2TmUO8
_symmetry_space_group_name_H-M 'P m m m'
_symmetry_Int_Tables_number 47
_cell_length_a 3.881
_cell_length_b 5.457
_cell_length_c 7.590
_cell_angle_alpha 90.00
_cell_angle_beta 90.00
_cell_angle_gamma 90.00
loop_
_symmetry_equiv_pos_as_xyz
'x,y,z'
'-x,-y,-z'
'-x,-y,z'
'x,y,-z'
'x,-y,-z'
'-x,y,z'
'-x,y,-z'
'x,-y,z'
loop_
_atom_site_label
_atom_site_type_symbol
_atom_site_fract_x
_atom_site_fract_y
_atom_site_fract_z
_atom_site_occupancy
Pm1 Pm 0.000 0.000 0.249 1
Tm1 Tm 0.500 0.500 0.000 1
U1 U 0.500 0.500 0.500 1
O1 O 0.000 0.261 0.000 1
O2 O 0.000 0.274 0.500 1
O3 O 0.500 0.267 0.271 1
```